No. 1
Structure and simulated powder XRD pattern of Pu2ZnNi4P3 (a DFT-relaxed cell (GGA-PBE, Alexandria); a wavelength of 1.5418 Å).
No peak broadening, texture or thermal motion is included.

Top 12 peaks for 5° ≤ 2θ ≤ 70°, sorted by position:
18.8°, intensity 15
24.4°, intensity 60
32.0°, intensity 27
36.5°, intensity 71
37.4°, intensity 100
45.9°, intensity 43
52.7°, intensity 17
53.8°, intensity 27
60.0°, intensity 34
61.2°, intensity 12
67.0°, intensity 14
68.4°, intensity 14

Structure:
Unit cell a=3.9508 b=3.9508 c=9.4437 alpha=90.00 beta=90.00 gamma=90.00
Space group P-4m2 (No. 115)
Inequivalent atoms, fractional coordinates:
Pu (0.0000, 0.5000, 0.2448) x2
Zn (0.0000, 0.0000, 0.5000) x1
Ni (0.0000, 0.0000, 0.0000) x1
Ni (0.0000, 0.5000, 0.6319) x2
Ni (0.5000, 0.5000, 0.0000) x1
P (0.0000, 0.5000, 0.8682) x2
P (0.5000, 0.5000, 0.5000) x1

No. 2
Structure and simulated powder XRD pattern of TlGeSCl (a DFT-relaxed cell (GGA-PBE, Alexandria); a wavelength of 1.5418 Å).
No peak broadening, texture or thermal motion is included.

Top 12 peaks for 5° ≤ 2θ ≤ 70°, sorted by position:
9.0°, intensity 57
18.1°, intensity 47
27.2°, intensity 20
28.7°, intensity 100
32.9°, intensity 50
38.9°, intensity 44
46.3°, intensity 11
46.4°, intensity 11
48.0°, intensity 24
51.8°, intensity 19
54.7°, intensity 9
56.9°, intensity 15

Structure:
Unit cell a=6.5624 b=3.7878 c=9.7775 alpha=90.00 beta=90.16 gamma=90.00
Space group Cm (No. 8)
Inequivalent atoms, fractional coordinates:
Tl (0.0000, 0.0000, 0.0000) x2
Ge (0.3328, 0.0000, 0.5440) x2
S (0.1664, 0.5000, 0.6737) x2
Cl (0.3343, 0.0000, 0.1910) x2

No. 3
Structure and simulated powder XRD pattern of U2CuSb4 (a DFT-relaxed cell (GGA-PBE, Alexandria); a wavelength of 1.5418 Å).
No peak broadening, texture or thermal motion is included.

Top 12 peaks for 5° ≤ 2θ ≤ 70°, sorted by position:
22.6°, intensity 27
28.9°, intensity 16
29.1°, intensity 16
30.7°, intensity 24
35.1°, intensity 100
35.7°, intensity 32
41.6°, intensity 44
51.5°, intensity 13
53.8°, intensity 18
55.9°, intensity 18
58.2°, intensity 16
60.3°, intensity 15

Structure:
Unit cell a=4.3434 b=4.3434 c=9.2571 alpha=90.00 beta=90.00 gamma=90.00
Space group P-4m2 (No. 115)
Inequivalent atoms, fractional coordinates:
U (0.0000, 0.5000, 0.2364) x2
Cu (0.5000, 0.5000, 0.0000) x1
Sb (0.0000, 0.0000, 0.5000) x1
Sb (0.0000, 0.5000, 0.8440) x2
Sb (0.5000, 0.5000, 0.5000) x1

No. 4
Structure and simulated powder XRD pattern of LiNdTi4O12 (a DFT-relaxed cell (GGA-PBE, Alexandria); a wavelength of 1.5418 Å).
No peak broadening, texture or thermal motion is included.

Top 12 peaks for 5° ≤ 2θ ≤ 70°, sorted by position:
11.2°, intensity 75
16.3°, intensity 72
19.9°, intensity 100
25.8°, intensity 56
28.0°, intensity 34
32.6°, intensity 93
33.0°, intensity 46
38.8°, intensity 35
46.1°, intensity 30
47.3°, intensity 59
58.6°, intensity 36
68.2°, intensity 31

Structure:
Unit cell a=5.4311 b=5.4311 c=7.8827 alpha=90.00 beta=90.00 gamma=90.00
Space group P4/mmm (No. 123)
Inequivalent atoms, fractional coordinates:
Li (0.0000, 0.0000, 0.0000) x1
Nd (0.5000, 0.5000, 0.5000) x1
Ti (0.0000, 0.5000, 0.2373) x4
O (0.0000, 0.5000, 0.0000) x2
O (0.0000, 0.5000, 0.5000) x2
O (0.2561, 0.2561, 0.2673) x8

No. 5
Structure and simulated powder XRD pattern of Ga9Ni13 (a DFT-relaxed cell (GGA-PBE, Alexandria); a wavelength of 1.5418 Å).
No peak broadening, texture or thermal motion is included.

Top 12 peaks for 5° ≤ 2θ ≤ 70°, sorted by position:
36.0°, intensity 9
40.5°, intensity 14
43.9°, intensity 8
44.4°, intensity 7
44.6°, intensity 18
44.8°, intensity 76
45.0°, intensity 73
45.5°, intensity 100
45.9°, intensity 48
65.3°, intensity 9
65.9°, intensity 13
66.2°, intensity 17

Structure:
Unit cell a=9.9761 b=7.9010 c=8.5053 alpha=90.00 beta=125.43 gamma=90.00
Space group C2/m (No. 12)
Inequivalent atoms, fractional coordinates:
Ga (0.0000, 0.0000, 0.0000) x2
Ga (0.0393, 0.2897, 0.8093) x8
Ga (0.1699, 0.5000, 0.6135) x4
Ga (0.2079, 0.0000, 0.6667) x4
Ni (0.0000, 0.2396, 0.5000) x4
Ni (0.0000, 0.5000, 0.0000) x2
Ni (0.0520, 0.0000, 0.3210) x4
Ni (0.1963, 0.2385, 0.1612) x8
Ni (0.2413, 0.0000, 0.9865) x4
Ni (0.2500, 0.2500, 0.5000) x4

No. 6
Structure and simulated powder XRD pattern of LaSm2Dy2Mg (a DFT-relaxed cell (GGA-PBE, Alexandria); a wavelength of 1.5418 Å).
No peak broadening, texture or thermal motion is included.

Top 12 peaks for 5° ≤ 2θ ≤ 70°, sorted by position:
9.4°, intensity 49
26.7°, intensity 100
27.7°, intensity 56
29.1°, intensity 95
29.9°, intensity 80
30.3°, intensity 44
32.0°, intensity 95
33.3°, intensity 64
35.6°, intensity 94
40.5°, intensity 68
42.0°, intensity 50
53.6°, intensity 47

Structure:
Unit cell a=6.2119 b=18.7981 c=3.3992 alpha=90.00 beta=90.00 gamma=90.00
Space group Pnnm (No. 58)
Inequivalent atoms, fractional coordinates:
La (0.0000, 0.0000, 0.0000) x2
Sm (0.1688, 0.2014, 0.0000) x4
Dy (0.1690, 0.3636, 0.5000) x4
Mg (0.0000, 0.5000, 0.0000) x2

No. 7
Structure and simulated powder XRD pattern of YSc2Hg4 (a DFT-relaxed cell (GGA-PBE, Alexandria); a wavelength of 1.5418 Å).
No peak broadening, texture or thermal motion is included.

Top 12 peaks for 5° ≤ 2θ ≤ 70°, sorted by position:
24.8°, intensity 51
25.9°, intensity 23
35.3°, intensity 53
36.1°, intensity 100
44.3°, intensity 23
50.8°, intensity 19
53.2°, intensity 8
57.3°, intensity 11
57.9°, intensity 11
59.5°, intensity 10
63.9°, intensity 38
65.5°, intensity 18

Structure:
Unit cell a=7.1907 b=7.1907 c=6.8894 alpha=90.00 beta=90.00 gamma=90.00
Space group I4/mmm (No. 139)
Inequivalent atoms, fractional coordinates:
Y (0.0000, 0.0000, 0.0000) x2
Sc (0.0000, 0.5000, 0.0000) x4
Hg (0.2500, 0.2500, 0.2500) x8

No. 8
Structure and simulated powder XRD pattern of AlAgAs (a DFT-relaxed cell (GGA-PBE, Alexandria); a wavelength of 1.5418 Å).
No peak broadening, texture or thermal motion is included.

Top 12 peaks for 5° ≤ 2θ ≤ 70°, sorted by position:
23.5°, intensity 42
27.7°, intensity 100
28.4°, intensity 44
32.3°, intensity 59
34.2°, intensity 47
35.5°, intensity 38
36.3°, intensity 29
36.4°, intensity 55
42.1°, intensity 61
43.5°, intensity 41
45.3°, intensity 77
47.2°, intensity 55

Structure:
Unit cell a=11.5508 b=5.8805 c=5.4596 alpha=90.00 beta=90.00 gamma=90.00
Space group Pmn2_1 (No. 31)
Inequivalent atoms, fractional coordinates:
Al (0.0000, 0.2300, 0.0000) x2
Al (0.1435, 0.4964, 0.2577) x4
Ag (0.0000, 0.7006, 0.6108) x2
Ag (0.1814, 0.0161, 0.3328) x4
As (0.0000, 0.8080, 0.0914) x2
As (0.1622, 0.3199, 0.6884) x4

No. 9
Structure and simulated powder XRD pattern of NbCuRuPt (a DFT-relaxed cell (GGA-PBE, Alexandria); a wavelength of 1.5418 Å).
No peak broadening, texture or thermal motion is included.

Top 12 peaks for 5° ≤ 2θ ≤ 70°, sorted by position:
23.0°, intensity 6
24.3°, intensity 7
31.5°, intensity 8
32.5°, intensity 5
40.2°, intensity 100
43.2°, intensity 20
47.0°, intensity 16
49.8°, intensity 13
58.3°, intensity 2
60.1°, intensity 3
65.7°, intensity 11
68.0°, intensity 10

Structure:
Unit cell a=3.6614 b=3.8673 c=4.1876 alpha=90.00 beta=90.00 gamma=90.00
Space group Pmmm (No. 47)
Inequivalent atoms, fractional coordinates:
Nb (0.0000, 0.0000, 0.0000) x1
Cu (0.0000, 0.5000, 0.5000) x1
Ru (0.5000, 0.5000, 0.0000) x1
Pt (0.5000, 0.0000, 0.5000) x1

No. 10
Structure and simulated powder XRD pattern of TmSc3Au2 (a DFT-relaxed cell (GGA-PBE, Alexandria); a wavelength of 1.5418 Å).
No peak broadening, texture or thermal motion is included.

Top 12 peaks for 5° ≤ 2θ ≤ 70°, sorted by position:
10.5°, intensity 22
24.8°, intensity 58
25.3°, intensity 80
31.4°, intensity 25
34.0°, intensity 20
34.3°, intensity 100
37.2°, intensity 58
38.2°, intensity 47
45.6°, intensity 25
45.9°, intensity 24
46.1°, intensity 50
61.0°, intensity 21

Structure:
Unit cell a=4.7081 b=8.4558 c=6.7620 alpha=90.00 beta=90.00 gamma=90.00
Space group Pmc2_1 (No. 26)
Inequivalent atoms, fractional coordinates:
Tm (0.0000, 0.0673, 0.0000) x2
Sc (0.0000, 0.3310, 0.6335) x2
Sc (0.5000, 0.1790, 0.3324) x2
Sc (0.5000, 0.4334, 0.9647) x2
Au (0.0000, 0.3529, 0.2305) x2
Au (0.5000, 0.1509, 0.7359) x2

No. 11
Structure and simulated powder XRD pattern of Sc3Cu4Pd2 (a DFT-relaxed cell (GGA-PBE, Alexandria); a wavelength of 1.5418 Å).
No peak broadening, texture or thermal motion is included.

Top 12 peaks for 5° ≤ 2θ ≤ 70°, sorted by position:
11.7°, intensity 5
23.1°, intensity 14
28.7°, intensity 4
35.7°, intensity 5
36.7°, intensity 5
38.5°, intensity 100
38.6°, intensity 50
41.5°, intensity 80
47.6°, intensity 52
62.8°, intensity 22
67.1°, intensity 8
67.2°, intensity 9

Structure:
Unit cell a=12.8760 b=9.3745 c=4.8226 alpha=90.00 beta=99.67 gamma=90.00
Space group C2/c (No. 15)
Inequivalent atoms, fractional coordinates:
Sc (0.0000, 0.1217, 0.2500) x4
Sc (0.1638, 0.3730, 0.0869) x8
Cu (0.0528, 0.3757, 0.5335) x8
Cu (0.2295, 0.1258, 0.3661) x8
Pd (0.1185, 0.1256, 0.8013) x8

No. 12
Structure and simulated powder XRD pattern of Y3Cd3In2 (a DFT-relaxed cell (GGA-PBE, Alexandria); a wavelength of 1.5418 Å).
No peak broadening, texture or thermal motion is included.

Top 12 peaks for 5° ≤ 2θ ≤ 70°, sorted by position:
30.8°, intensity 100
31.5°, intensity 14
32.0°, intensity 14
34.9°, intensity 62
38.1°, intensity 41
38.2°, intensity 37
39.3°, intensity 13
44.2°, intensity 10
45.8°, intensity 13
52.3°, intensity 10
60.2°, intensity 11
64.3°, intensity 11

Structure:
Unit cell a=4.7283 b=11.3734 c=15.5451 alpha=90.00 beta=90.00 gamma=90.00
Space group Cmcm (No. 63)
Inequivalent atoms, fractional coordinates:
Y (0.0000, 0.0815, 0.1121) x8
Y (0.0000, 0.3505, 0.2500) x4
Cd (0.0000, 0.3747, 0.7500) x4
Cd (0.0000, 0.3850, 0.0353) x8
In (0.0000, 0.2071, 0.6103) x8